Structure and theoretical powder diffractogram of Ho2Cu2O5 (a PBE-relaxed structure; Cu Kα).
Lines closer than 0.1° are merged.

Structural model:
Cell lengths 10.8811, 3.5096, 12.5173 Å; angles 90.00, 90.00, 90.00 degrees
Element x y z (fractional)
1 Ho 0.0427 0.2225 0.0000
2 Ho 0.2075 0.2212 0.3276
3 Ho 0.2925 0.7212 0.8276
4 Ho 0.4573 0.7225 0.5000
5 Ho 0.5427 0.2775 0.0000
6 Ho 0.7075 0.2788 0.3276
7 Ho 0.7925 0.7788 0.8276
8 Ho 0.9573 0.7775 0.5000
9 Cu 0.0115 0.3397 0.7171
10 Cu 0.2381 0.1563 0.6111
11 Cu 0.2619 0.6563 0.1111
12 Cu 0.4885 0.8397 0.2171
13 Cu 0.5115 0.1603 0.7171
14 Cu 0.7381 0.3437 0.6111
15 Cu 0.7619 0.8437 0.1111
16 Cu 0.9885 0.6603 0.2171
17 O 0.0715 0.2754 0.5659
18 O 0.0769 0.7274 0.3564
19 O 0.1247 0.3447 0.1639
20 O 0.1733 0.7250 0.9718
21 O 0.1779 0.2190 0.7627
22 O 0.3221 0.7190 0.2627
23 O 0.3267 0.2250 0.4718
24 O 0.3753 0.8447 0.6639
25 O 0.4231 0.2274 0.8564
26 O 0.4285 0.7754 0.0659
27 O 0.5715 0.2246 0.5659
28 O 0.5769 0.7726 0.3564
29 O 0.6247 0.1553 0.1639
30 O 0.6733 0.7750 0.9718
31 O 0.6779 0.2810 0.7627
32 O 0.8221 0.7810 0.2627
33 O 0.8267 0.2750 0.4718
34 O 0.8753 0.6553 0.6639
35 O 0.9231 0.2726 0.8564
36 O 0.9285 0.7246 0.0659

Peak list (10 most intense, 5° ≤ 2θ ≤ 70°, by intensity)
(hkl), d_spacing, 2θ (°), I_rel
2 1 1, 2.871, 31.16, 100.0
2 0 4, 2.714, 33.00, 78.5
0 1 3, 2.686, 33.36, 58.0
2 0 2, 4.106, 21.64, 45.3
4 1 2, 2.033, 44.56, 36.0
2 1 0, 2.949, 30.31, 30.9
4 1 3, 1.911, 47.60, 30.2
2 0 3, 3.311, 26.93, 29.1
6 1 0, 1.612, 57.14, 24.7
4 1 4, 1.772, 51.58, 24.4